PuP2S6: calculated powder XRD pattern (Cu Kα (weighted mean of Kα1 and Kα2)), based on a cell relaxed with GGA-PBE.
No peak broadening, texture or thermal motion is included.

Cell and atoms:
```
9
Lattice="3.1804 1.8362 7.2680 -3.1804 1.8362 7.2680 0.0000 -3.6724 7.2680" Properties=species:S:1:pos:R:3 pbc="T T T"
Pu 0.0000 0.0000 0.0000
P 0.0000 0.0000 6.1438
P 0.0000 0.0000 8.3836
S -0.8927 -1.7350 8.9780
S -2.3029 0.0942 12.8144
S -1.0562 1.6406 8.9780
S 1.0699 -2.0415 12.8144
S 1.9489 0.0944 8.9780
S 1.2330 1.9473 12.8144
```

Principal peaks in the range 10 to 90 degrees two-theta, most intense first:
d [Å], I/Imax
7.268, 100
5.341, 82
2.914, 79
4.917, 67
2.393, 45
3.875, 43

CeNd5Y8: calculated powder XRD pattern (Cu Kα (weighted mean of Kα1 and Kα2)), based on a cell relaxed with GGA-PBE.
No peak broadening, texture or thermal motion is included.

Cell and atoms:
```
14
Lattice="-4.8133 4.8133 5.1560 4.8133 -4.8133 5.1560 4.8133 4.8133 -5.1560" Properties=species:S:1:pos:R:3 pbc="T T T"
Ce 0.0000 0.0000 0.0000
Nd 5.8683 2.0555 -1.7848
Nd 4.8133 0.0000 2.5780
Nd 2.0555 3.7583 1.7848
Nd -1.0550 2.7578 3.3712
Nd 2.7578 1.0550 6.9408
Y 3.0749 0.7877 0.0330
Y 3.1113 4.1178 -1.5565
Y 4.0256 -1.7384 5.1230
Y 1.7020 0.6955 3.5995
Y 5.5088 3.1113 1.5565
Y 0.7877 6.5517 -0.0330
Y -0.6955 1.7020 6.7125
Y 1.7384 4.0256 5.1890
```

Principal peaks in the range 10 to 90 degrees two-theta, most intense first:
d [Å], I/Imax
2.686, 100
3.044, 82
3.064, 71
3.237, 61
2.585, 49
2.621, 41

Ac7TlHg2N2: calculated powder XRD pattern (Cu Kα (weighted mean of Kα1 and Kα2)), based on a cell relaxed with GGA-PBE.
No peak broadening, texture or thermal motion is included.

Cell and atoms:
```
12
Lattice="3.8005 -3.7998 0.0000 3.8005 3.7998 0.0000 -3.7632 0.0000 13.3219" Properties=species:S:1:pos:R:3 pbc="T T T"
Ac 0.0000 0.0000 0.0000
Ac 1.9012 1.9009 2.6446
Ac 0.0088 0.0000 5.3859
Ac 1.9366 1.9009 10.6774
Ac 1.9012 -1.9009 2.6446
Ac 3.8290 0.0000 7.9361
Ac 1.9366 -1.9009 10.6774
Tl 3.8005 0.0000 0.0000
Hg 0.0390 0.0000 8.6350
Hg 3.7988 0.0000 4.6869
N 0.0008 0.0000 2.7770
N 3.8370 0.0000 10.5449
```

Principal peaks in the range 10 to 90 degrees two-theta, most intense first:
d [Å], I/Imax
2.887, 100
2.687, 75
3.301, 71
1.900, 29
1.588, 27
2.664, 25

Sn2Pb2Au3: calculated powder XRD pattern (Cu Kα (weighted mean of Kα1 and Kα2)), based on a cell relaxed with GGA-PBE.
No peak broadening, texture or thermal motion is included.

Cell and atoms:
```
14
Lattice="6.9971 0.0000 0.0000 0.0000 7.6933 0.0000 -2.1758 0.0000 6.9319" Properties=species:S:1:pos:R:3 pbc="T T T"
Sn 0.1486 1.2786 2.4516
Sn -0.9393 2.5681 5.9175
Sn 5.7607 5.1252 1.0144
Sn 4.6728 6.4147 4.4803
Pb 1.0624 5.0540 4.2259
Pb 2.1502 6.4860 0.7600
Pb 2.6711 1.2073 6.1719
Pb 3.7590 2.6393 2.7059
Au -0.0305 0.1347 5.0944
Au 1.0574 3.7120 1.6285
Au 2.4107 0.0000 3.4659
Au 3.4986 3.8467 0.0000
Au 3.7640 3.9813 5.3034
Au 4.8519 7.5586 1.8375
```

Principal peaks in the range 10 to 90 degrees two-theta, most intense first:
d [Å], I/Imax
2.191, 100
2.308, 70
3.196, 65
2.301, 59
2.232, 57
3.160, 54

KPd2Cl: calculated powder XRD pattern (Cu Kα (weighted mean of Kα1 and Kα2)), based on a cell relaxed with GGA-PBE.
No peak broadening, texture or thermal motion is included.

Cell and atoms:
```
16
Lattice="5.4656 0.0000 0.0000 0.0000 5.4656 0.0000 0.0000 0.0000 15.3902" Properties=species:S:1:pos:R:3 pbc="T T T"
K 0.0000 1.3664 5.7713
K 0.0000 4.0992 9.6189
K 2.7328 1.3664 1.9238
K 2.7328 4.0992 13.4664
Pd 0.0000 0.0000 0.0000
Pd 0.0000 2.7328 0.0000
Pd 1.3664 1.3664 11.5427
Pd 1.3664 4.0992 3.8476
Pd 2.7328 0.0000 7.6951
Pd 2.7328 2.7328 7.6951
Pd 4.0992 1.3664 11.5427
Pd 4.0992 4.0992 3.8476
Cl 0.0000 1.3664 13.4664
Cl 0.0000 4.0992 1.9238
Cl 2.7328 1.3664 9.6189
Cl 2.7328 4.0992 5.7713
```

Principal peaks in the range 10 to 90 degrees two-theta, most intense first:
d [Å], I/Imax
5.150, 100
2.575, 71
3.741, 51
1.727, 37
2.414, 32
1.870, 27

CdIn2Pb5: calculated powder XRD pattern (Cu Kα (weighted mean of Kα1 and Kα2)), based on a cell relaxed with GGA-PBE.
No peak broadening, texture or thermal motion is included.

Cell and atoms:
```
16
Lattice="10.2822 0.0000 0.0000 0.0000 8.9902 0.0000 -5.1106 0.0000 5.1438" Properties=species:S:1:pos:R:3 pbc="T T T"
Cd 0.0000 0.0000 0.0000
Cd 5.1411 4.4951 0.0000
In -0.0035 4.4951 0.0039
In 2.5747 4.4951 2.5738
In 5.1376 0.0000 0.0039
In 7.7158 0.0000 2.5738
Pb -2.5472 4.4951 2.5808
Pb 0.0130 2.2370 2.5739
Pb 2.5681 2.2443 0.0042
Pb 2.5681 6.7459 0.0042
Pb 0.0130 6.7532 2.5739
Pb 2.5939 0.0000 2.5808
Pb 7.7093 2.2508 0.0042
Pb 5.1541 2.2581 2.5739
Pb 5.1541 6.7321 2.5739
Pb 7.7093 6.7394 0.0042
```

Principal peaks in the range 10 to 90 degrees two-theta, most intense first:
d [Å], I/Imax
2.832, 100
2.822, 99
2.571, 77
1.692, 45
1.532, 32
1.527, 32

LaTbAlHg: calculated powder XRD pattern (Cu Kα (weighted mean of Kα1 and Kα2)), based on a cell relaxed with GGA-PBE.
No peak broadening, texture or thermal motion is included.

Cell and atoms:
```
4
Lattice="3.6649 0.0000 0.0000 0.0000 3.6649 0.0000 0.0000 0.0000 7.9296" Properties=species:S:1:pos:R:3 pbc="T T T"
La 0.0000 0.0000 0.0000
Tb 0.0000 0.0000 3.7681
Al 1.8325 1.8325 1.9795
Hg 1.8325 1.8325 5.6159
```

Principal peaks in the range 10 to 90 degrees two-theta, most intense first:
d [Å], I/Imax
2.691, 100
2.591, 47
1.515, 35
7.930, 28
3.327, 25
1.575, 17

GePt6Rh: calculated powder XRD pattern (Cu Kα (weighted mean of Kα1 and Kα2)), based on a cell relaxed with GGA-PBE.
No peak broadening, texture or thermal motion is included.

Cell and atoms:
```
8
Lattice="0.0000 3.8690 5.8212 2.7505 0.0000 5.8212 2.7505 3.8690 0.0000" Properties=species:S:1:pos:R:3 pbc="T T T"
Ge 0.0000 0.0000 0.0000
Pt 1.3752 1.9345 1.4160
Pt 2.7505 3.8690 2.9677
Pt 1.3752 1.9345 4.4052
Pt 4.1257 5.8035 7.2372
Pt 2.7505 3.8690 8.6747
Pt 4.1257 5.8035 10.2264
Rh 2.7505 3.8690 5.8212
```

Principal peaks in the range 10 to 90 degrees two-theta, most intense first:
d [Å], I/Imax
2.326, 100
2.242, 91
1.999, 64
1.390, 40
1.935, 29
1.221, 26